Record 1
Calculated powder X-ray diffraction pattern of Ga2IrRu for Cu Ka, from a crystal structure in the Materials Project, relaxed with GGA-PBE.

Top 10 peaks for 2θ = 10–90°, by angle:
25.2 deg, intensity 9; 29.2 deg, intensity 14; 41.8 deg, intensity 100; 49.5 deg, intensity 5; 51.8 deg, intensity 4; 60.6 deg, intensity 17; 66.7 deg, intensity 2; 68.7 deg, intensity 5; 76.4 deg, intensity 33; 81.9 deg, intensity 2

Structural model:
```
4
Lattice="0.0000 3.0549 3.0549 3.0549 0.0000 3.0549 3.0549 3.0549 0.0000" Properties=species:S:1:pos:R:3 pbc="T T T"
Ga 1.5274 1.5274 1.5274
Ga 4.5823 4.5823 4.5823
Ir 0.0000 0.0000 0.0000
Ru 3.0549 3.0549 3.0549
```

Record 2
Calculated powder X-ray diffraction pattern of Sm2Ga9Ir3 for Cu Ka, from a crystal structure in the Materials Project, relaxed with GGA-PBE.

Top 12 peaks for 2θ = 10–90°, by angle:
23.3 deg, intensity 23; 29.9 deg, intensity 65; 36.7 deg, intensity 73; 37.5 deg, intensity 25; 41.0 deg, intensity 100; 44.7 deg, intensity 32; 45.3 deg, intensity 30; 51.6 deg, intensity 27; 56.8 deg, intensity 25; 63.1 deg, intensity 23; 71.8 deg, intensity 16; 78.0 deg, intensity 18

Structural model:
```
28
Lattice="6.6011 -3.8194 0.0000 6.6011 3.8194 0.0000 0.0000 0.0000 9.5857" Properties=species:S:1:pos:R:3 pbc="T T T"
Sm 4.4287 2.5397 7.1893
Sm 8.7736 2.5397 7.1893
Sm 4.4287 -2.5397 2.3964
Sm 8.7736 -2.5397 2.3964
Ga 4.4016 2.5418 0.7519
Ga 4.4016 2.5418 4.0409
Ga 6.6011 2.8436 2.3964
Ga 6.6011 1.2698 5.3785
Ga 6.6011 1.2698 9.0000
Ga 8.8007 2.5418 0.7519
Ga 8.8007 2.5418 4.0409
Ga 5.2398 0.4488 2.3964
Ga 5.2398 -0.4488 7.1893
Ga 7.9625 0.4488 2.3964
Ga 7.9625 -0.4488 7.1893
Ga 4.4016 -2.5418 5.5448
Ga 4.4016 -2.5418 8.8338
Ga 6.6011 -1.2698 0.5857
Ga 6.6011 -1.2698 4.2072
Ga 6.6011 -2.8436 7.1893
Ga 8.8007 -2.5418 5.5448
Ga 8.8007 -2.5418 8.8338
Ir 0.0000 0.0000 0.0000
Ir 0.0000 0.0000 4.7928
Ir 4.3431 0.0000 0.0000
Ir 4.3431 0.0000 4.7928
Ir 8.8591 0.0000 0.0000
Ir 8.8591 0.0000 4.7928
```

Record 3
Calculated powder X-ray diffraction pattern of Tb3Ga8Ir3 for Cu Ka, from a crystal structure in the Materials Project, relaxed with GGA-PBE.

Top 12 peaks for 2θ = 10–90°, by angle:
11.4 deg, intensity 21; 14.3 deg, intensity 25; 28.7 deg, intensity 16; 34.8 deg, intensity 14; 35.4 deg, intensity 100; 37.5 deg, intensity 19; 42.8 deg, intensity 28; 44.0 deg, intensity 17; 45.6 deg, intensity 16; 46.3 deg, intensity 27; 63.0 deg, intensity 13; 73.5 deg, intensity 13

Structural model:
```
14
Lattice="-2.1145 4.9604 6.1743 2.1145 -4.9604 6.1743 2.1145 4.9604 -6.1743" Properties=species:S:1:pos:R:3 pbc="T T T"
Tb 0.0000 0.0000 0.0000
Tb 0.0000 0.0000 4.0486
Tb 0.0000 0.0000 8.2999
Ga 2.1145 -1.2798 2.0589
Ga 2.1145 -2.1292 4.6403
Ga 2.1145 1.2798 2.0589
Ga 0.0000 2.8312 1.5340
Ga 2.1145 2.1292 4.6403
Ga 0.0000 3.6806 4.1153
Ga 0.0000 7.0897 1.5340
Ga 0.0000 6.2403 4.1153
Ir 2.1145 2.8119 0.0000
Ir 0.0000 4.9604 0.0000
Ir 0.0000 2.1485 6.1743
```

Record 4
Calculated powder X-ray diffraction pattern of ThGaIr for Cu Ka, from a crystal structure in the Materials Project, relaxed with GGA-PBE.

Top 12 peaks for 2θ = 10–90°, by angle:
24.5 deg, intensity 23; 28.4 deg, intensity 16; 32.9 deg, intensity 77; 36.0 deg, intensity 100; 37.9 deg, intensity 27; 43.2 deg, intensity 27; 44.1 deg, intensity 51; 57.4 deg, intensity 21; 59.5 deg, intensity 14; 63.4 deg, intensity 18; 69.1 deg, intensity 32; 75.7 deg, intensity 16

Structural model:
```
9
Lattice="7.2545 0.0000 0.0000 -3.6272 6.2825 0.0000 0.0000 0.0000 4.1092" Properties=species:S:1:pos:R:3 pbc="T T T"
Th -2.1230 3.6771 0.0000
Th 1.5042 2.6054 0.0000
Th 4.2460 0.0000 0.0000
Ga -0.8492 1.4708 2.0546
Ga 1.6983 0.0000 2.0546
Ga 2.7781 4.8117 2.0546
Ir 0.0000 0.0000 0.0000
Ir 0.0000 4.1884 2.0546
Ir 3.6272 2.0942 2.0546
```